No. 1
For Gd2CdAsP, a crystal structure in OQMD, relaxed with PBE gives the theoretical X-ray powder pattern in this record (Cu Kα (weighted mean of Kα1 and Kα2)).
No peak broadening, texture or thermal motion is included.

Principal peaks in the range 10 to 90 degrees two-theta, sorted by position:
- 2θ 24.50, intensity 12
- 2θ 26.34, intensity 28
- 2θ 29.51, intensity 23
- 2θ 30.07, intensity 23
- 2θ 33.63, intensity 100
- 2θ 34.49, intensity 18
- 2θ 35.87, intensity 40
- 2θ 38.77, intensity 28
- 2θ 44.42, intensity 23
- 2θ 64.17, intensity 18

Structure:
```
data_Gd2CdAsP
_symmetry_space_group_name_H-M 'P 1'
_symmetry_Int_Tables_number 1
_cell_length_a 9.0279
_cell_length_b 9.0279
_cell_length_c 6.4485
_cell_angle_alpha 90.00
_cell_angle_beta 90.00
_cell_angle_gamma 153.89
loop_
_symmetry_equiv_pos_as_xyz
'x,y,z'
loop_
_atom_site_label
_atom_site_type_symbol
_atom_site_fract_x
_atom_site_fract_y
_atom_site_fract_z
Gd1 Gd 0.0226 0.9774 0.5000
Gd2 Gd 0.2010 0.7990 0.1834
Gd3 Gd 0.7990 0.2010 0.6834
Gd4 Gd 0.9774 0.0226 0.0000
Cd1 Cd 0.3873 0.6127 0.3025
Cd2 Cd 0.6127 0.3873 0.8025
As1 As 0.4173 0.5827 0.7147
As2 As 0.5827 0.4173 0.2147
P1 P 0.1860 0.8140 0.6386
P2 P 0.8140 0.1860 0.1386
```



No. 2
For Cd3Ge2As4, a crystal structure in OQMD, relaxed with PBE gives the theoretical X-ray powder pattern in this record (Cu Kα (weighted mean of Kα1 and Kα2)).
No peak broadening, texture or thermal motion is included.

Principal peaks in the range 10 to 90 degrees two-theta, sorted by position:
- 2θ 25.62, intensity 54
- 2θ 27.77, intensity 36
- 2θ 28.01, intensity 19
- 2θ 30.37, intensity 100
- 2θ 41.92, intensity 36
- 2θ 42.13, intensity 21
- 2θ 43.03, intensity 33
- 2θ 45.05, intensity 25
- 2θ 49.78, intensity 22
- 2θ 52.65, intensity 21

Structure:
```
data_Cd3Ge2As4
_symmetry_space_group_name_H-M 'P 1'
_symmetry_Int_Tables_number 1
_cell_length_a 10.4832
_cell_length_b 10.4832
_cell_length_c 10.4832
_cell_angle_alpha 41.72
_cell_angle_beta 41.72
_cell_angle_gamma 41.72
loop_
_symmetry_equiv_pos_as_xyz
'x,y,z'
loop_
_atom_site_label
_atom_site_type_symbol
_atom_site_fract_x
_atom_site_fract_y
_atom_site_fract_z
Cd1 Cd 0.0529 0.3918 0.6894
Cd2 Cd 0.3106 0.9471 0.6082
Cd3 Cd 0.3918 0.6894 0.0529
Cd4 Cd 0.6082 0.3106 0.9471
Cd5 Cd 0.6894 0.0529 0.3918
Cd6 Cd 0.9471 0.6082 0.3106
Ge1 Ge 0.0644 0.0644 0.0644
Ge2 Ge 0.3292 0.3292 0.3292
Ge3 Ge 0.6708 0.6708 0.6708
Ge4 Ge 0.9356 0.9356 0.9356
As1 As 0.1517 0.1517 0.1517
As2 As 0.1576 0.6381 0.6263
As3 As 0.3619 0.3737 0.8424
As4 As 0.3737 0.8424 0.3619
As5 As 0.6263 0.1576 0.6381
As6 As 0.6381 0.6263 0.1576
As7 As 0.8424 0.3619 0.3737
As8 As 0.8483 0.8483 0.8483
```



No. 3
For CdGeAs, a crystal structure in OQMD, relaxed with PBE gives the theoretical X-ray powder pattern in this record (Cu Kα (weighted mean of Kα1 and Kα2)).
No peak broadening, texture or thermal motion is included.

Principal peaks in the range 10 to 90 degrees two-theta, sorted by position:
- 2θ 31.61, intensity 20
- 2θ 31.97, intensity 100
- 2θ 35.15, intensity 92
- 2θ 36.58, intensity 41
- 2θ 38.84, intensity 16
- 2θ 39.62, intensity 26
- 2θ 44.79, intensity 28
- 2θ 60.64, intensity 22
- 2θ 61.32, intensity 14
- 2θ 74.19, intensity 16

Structure:
```
data_CdGeAs
_symmetry_space_group_name_H-M 'P 1'
_symmetry_Int_Tables_number 1
_cell_length_a 7.0391
_cell_length_b 4.0469
_cell_length_c 9.2734
_cell_angle_alpha 90.00
_cell_angle_beta 90.00
_cell_angle_gamma 90.00
loop_
_symmetry_equiv_pos_as_xyz
'x,y,z'
loop_
_atom_site_label
_atom_site_type_symbol
_atom_site_fract_x
_atom_site_fract_y
_atom_site_fract_z
Cd1 Cd 0.0125 0.2500 0.1788
Cd2 Cd 0.4875 0.7500 0.6788
Cd3 Cd 0.5125 0.2500 0.3212
Cd4 Cd 0.9875 0.7500 0.8212
Ge1 Ge 0.1828 0.2500 0.5897
Ge2 Ge 0.3172 0.7500 0.0897
Ge3 Ge 0.6828 0.2500 0.9103
Ge4 Ge 0.8172 0.7500 0.4103
As1 As 0.2064 0.7500 0.3914
As2 As 0.2936 0.2500 0.8914
As3 As 0.7064 0.7500 0.1086
As4 As 0.7936 0.2500 0.6086
```



No. 4
For MgCdGe2As4, a crystal structure in OQMD, relaxed with PBE gives the theoretical X-ray powder pattern in this record (Cu Kα (weighted mean of Kα1 and Kα2)).
No peak broadening, texture or thermal motion is included.

Principal peaks in the range 10 to 90 degrees two-theta, sorted by position:
- 2θ 16.62, intensity 7
- 2θ 26.12, intensity 100
- 2θ 42.26, intensity 26
- 2θ 43.84, intensity 48
- 2θ 50.36, intensity 30
- 2θ 53.11, intensity 14
- 2θ 61.29, intensity 8
- 2θ 70.10, intensity 11
- 2θ 78.37, intensity 15
- 2θ 81.66, intensity 8

Structure:
```
data_MgCdGe2As4
_symmetry_space_group_name_H-M 'P 1'
_symmetry_Int_Tables_number 1
_cell_length_a 7.0892
_cell_length_b 7.0892
_cell_length_c 7.0892
_cell_angle_alpha 129.49
_cell_angle_beta 129.49
_cell_angle_gamma 74.23
loop_
_symmetry_equiv_pos_as_xyz
'x,y,z'
loop_
_atom_site_label
_atom_site_type_symbol
_atom_site_fract_x
_atom_site_fract_y
_atom_site_fract_z
Mg1 Mg 0.0000 0.0000 0.0000
Cd1 Cd 0.2500 0.7500 0.5000
Ge1 Ge 0.5000 0.5000 0.0000
Ge2 Ge 0.7500 0.2500 0.5000
As1 As 0.1235 0.6017 0.9711
As2 As 0.3983 0.3694 0.5218
As3 As 0.6306 0.1523 0.0289
As4 As 0.8477 0.8765 0.4782
```



No. 5
For Cd2GeAs4Pt, a crystal structure in OQMD, relaxed with PBE gives the theoretical X-ray powder pattern in this record (Cu Kα (weighted mean of Kα1 and Kα2)).
No peak broadening, texture or thermal motion is included.

Principal peaks in the range 10 to 90 degrees two-theta, sorted by position:
- 2θ 16.68, intensity 9
- 2θ 26.00, intensity 100
- 2θ 42.97, intensity 23
- 2θ 43.17, intensity 47
- 2θ 50.91, intensity 30
- 2θ 51.26, intensity 15
- 2θ 62.39, intensity 7
- 2θ 69.05, intensity 12
- 2θ 78.88, intensity 13
- 2θ 79.30, intensity 7

Structure:
```
data_Cd2GeAs4Pt
_symmetry_space_group_name_H-M 'P 1'
_symmetry_Int_Tables_number 1
_cell_length_a 7.2490
_cell_length_b 7.2490
_cell_length_c 7.2490
_cell_angle_alpha 131.51
_cell_angle_beta 131.51
_cell_angle_gamma 71.01
loop_
_symmetry_equiv_pos_as_xyz
'x,y,z'
loop_
_atom_site_label
_atom_site_type_symbol
_atom_site_fract_x
_atom_site_fract_y
_atom_site_fract_z
Cd1 Cd 0.0000 0.0000 0.0000
Cd2 Cd 0.7500 0.2500 0.5000
Ge1 Ge 0.5000 0.5000 0.0000
As1 As 0.1588 0.6313 0.0431
As2 As 0.3687 0.4118 0.5274
As3 As 0.5882 0.1157 0.9569
As4 As 0.8843 0.8412 0.4726
Pt1 Pt 0.2500 0.7500 0.5000
```



No. 6
For CdAsHO4, a crystal structure in OQMD, relaxed with PBE gives the theoretical X-ray powder pattern in this record (Cu Kα (weighted mean of Kα1 and Kα2)).
No peak broadening, texture or thermal motion is included.

Principal peaks in the range 10 to 90 degrees two-theta, sorted by position:
- 2θ 13.67, intensity 20
- 2θ 27.53, intensity 32
- 2θ 28.59, intensity 100
- 2θ 29.50, intensity 80
- 2θ 34.21, intensity 17
- 2θ 38.24, intensity 24
- 2θ 44.46, intensity 24
- 2θ 47.94, intensity 20
- 2θ 49.33, intensity 13
- 2θ 51.27, intensity 14

Structure:
```
data_CdAsHO4
_symmetry_space_group_name_H-M 'P 1'
_symmetry_Int_Tables_number 1
_cell_length_a 4.6861
_cell_length_b 6.4797
_cell_length_c 5.2466
_cell_angle_alpha 90.00
_cell_angle_beta 92.29
_cell_angle_gamma 90.00
loop_
_symmetry_equiv_pos_as_xyz
'x,y,z'
loop_
_atom_site_label
_atom_site_type_symbol
_atom_site_fract_x
_atom_site_fract_y
_atom_site_fract_z
Cd1 Cd 0.0000 0.2157 0.2500
Cd2 Cd 0.0000 0.7843 0.7500
As1 As 0.5000 0.2033 0.7500
As2 As 0.5000 0.7967 0.2500
H1 H 0.5000 0.5000 0.0000
H2 H 0.5000 0.5000 0.5000
O1 O 0.2476 0.0824 0.9193
O2 O 0.2476 0.9176 0.4193
O3 O 0.3160 0.3747 0.5408
O4 O 0.3160 0.6253 0.0408
O5 O 0.6840 0.3747 0.9592
O6 O 0.6840 0.6253 0.4592
O7 O 0.7524 0.0824 0.5807
O8 O 0.7524 0.9176 0.0807
```



No. 7
For Hf3Cd4As4, a crystal structure in OQMD, relaxed with PBE gives the theoretical X-ray powder pattern in this record (Cu Kα (weighted mean of Kα1 and Kα2)).
No peak broadening, texture or thermal motion is included.

Principal peaks in the range 10 to 90 degrees two-theta, sorted by position:
- 2θ 28.76, intensity 24
- 2θ 32.75, intensity 44
- 2θ 33.64, intensity 100
- 2θ 34.42, intensity 61
- 2θ 36.41, intensity 27
- 2θ 38.56, intensity 32
- 2θ 40.94, intensity 47
- 2θ 42.11, intensity 30
- 2θ 46.66, intensity 51
- 2θ 49.94, intensity 23

Structure:
```
data_Hf3Cd4As4
_symmetry_space_group_name_H-M 'P 1'
_symmetry_Int_Tables_number 1
_cell_length_a 7.3644
_cell_length_b 3.8941
_cell_length_c 8.2692
_cell_angle_alpha 90.00
_cell_angle_beta 97.26
_cell_angle_gamma 90.00
loop_
_symmetry_equiv_pos_as_xyz
'x,y,z'
loop_
_atom_site_label
_atom_site_type_symbol
_atom_site_fract_x
_atom_site_fract_y
_atom_site_fract_z
Hf1 Hf 0.0000 0.0000 0.0000
Hf2 Hf 0.2337 0.5000 0.5641
Hf3 Hf 0.7496 0.5000 0.6516
Cd1 Cd 0.2854 0.5000 0.9481
Cd2 Cd 0.5130 0.0000 0.8613
Cd3 Cd 0.5404 0.5000 0.2703
Cd4 Cd 0.8537 0.0000 0.3302
As1 As 0.0117 0.0000 0.6629
As2 As 0.1391 0.5000 0.2404
As3 As 0.4934 0.0000 0.5398
As4 As 0.7512 0.5000 0.9873
```



No. 8
For Nd2CdHgAs2O2, a crystal structure in OQMD, relaxed with PBE gives the theoretical X-ray powder pattern in this record (Cu Kα (weighted mean of Kα1 and Kα2)).
No peak broadening, texture or thermal motion is included.

Principal peaks in the range 10 to 90 degrees two-theta, sorted by position:
- 2θ 19.37, intensity 23
- 2θ 28.87, intensity 96
- 2θ 31.75, intensity 100
- 2θ 36.10, intensity 78
- 2θ 36.39, intensity 37
- 2θ 43.19, intensity 68
- 2θ 50.34, intensity 46
- 2θ 52.79, intensity 36
- 2θ 67.95, intensity 26
- 2θ 72.04, intensity 24

Structure:
```
data_Nd2CdHgAs2O2
_symmetry_space_group_name_H-M 'P 1'
_symmetry_Int_Tables_number 1
_cell_length_a 4.1889
_cell_length_b 4.1889
_cell_length_c 9.1670
_cell_angle_alpha 90.00
_cell_angle_beta 90.00
_cell_angle_gamma 90.00
loop_
_symmetry_equiv_pos_as_xyz
'x,y,z'
loop_
_atom_site_label
_atom_site_type_symbol
_atom_site_fract_x
_atom_site_fract_y
_atom_site_fract_z
Nd1 Nd 0.0000 0.5000 0.1218
Nd2 Nd 0.5000 0.0000 0.8782
Cd1 Cd 0.5000 0.5000 0.5000
Hg1 Hg 0.0000 0.0000 0.5000
As1 As 0.0000 0.5000 0.7030
As2 As 0.5000 0.0000 0.2970
O1 O 0.0000 0.0000 0.0000
O2 O 0.5000 0.5000 0.0000
```



No. 9
For SrHoCdAs2, a crystal structure in OQMD, relaxed with PBE gives the theoretical X-ray powder pattern in this record (Cu Kα (weighted mean of Kα1 and Kα2)).
No peak broadening, texture or thermal motion is included.

Principal peaks in the range 10 to 90 degrees two-theta, sorted by position:
- 2θ 10.04, intensity 69
- 2θ 27.57, intensity 26
- 2θ 28.81, intensity 39
- 2θ 32.88, intensity 100
- 2θ 33.10, intensity 36
- 2θ 33.58, intensity 77
- 2θ 36.63, intensity 78
- 2θ 40.20, intensity 23
- 2θ 42.20, intensity 42
- 2θ 43.68, intensity 24

Structure:
```
data_SrHoCdAs2
_symmetry_space_group_name_H-M 'P 1'
_symmetry_Int_Tables_number 1
_cell_length_a 9.0705
_cell_length_b 9.0705
_cell_length_c 6.9553
_cell_angle_alpha 90.00
_cell_angle_beta 90.00
_cell_angle_gamma 152.69
loop_
_symmetry_equiv_pos_as_xyz
'x,y,z'
loop_
_atom_site_label
_atom_site_type_symbol
_atom_site_fract_x
_atom_site_fract_y
_atom_site_fract_z
Sr1 Sr 0.1949 0.8051 0.5000
Sr2 Sr 0.8051 0.1949 0.0000
Ho1 Ho 0.0271 0.9729 0.1785
Ho2 Ho 0.9729 0.0271 0.6785
Cd1 Cd 0.3905 0.6095 0.3540
Cd2 Cd 0.6095 0.3905 0.8540
As1 As 0.1768 0.8232 0.0232
As2 As 0.4493 0.5507 0.9690
As3 As 0.5507 0.4493 0.4690
As4 As 0.8232 0.1768 0.5232
```



No. 10
For CdAs6S8I4, a crystal structure in OQMD, relaxed with PBE gives the theoretical X-ray powder pattern in this record (Cu Kα (weighted mean of Kα1 and Kα2)).
No peak broadening, texture or thermal motion is included.

Principal peaks in the range 10 to 90 degrees two-theta, sorted by position:
- 2θ 13.56, intensity 31
- 2θ 20.19, intensity 76
- 2θ 23.18, intensity 32
- 2θ 30.13, intensity 67
- 2θ 30.24, intensity 31
- 2θ 30.40, intensity 70
- 2θ 31.51, intensity 100
- 2θ 34.25, intensity 30
- 2θ 46.30, intensity 29
- 2θ 48.54, intensity 36

Structure:
```
data_CdAs6S8I4
_symmetry_space_group_name_H-M 'P 1'
_symmetry_Int_Tables_number 1
_cell_length_a 7.1688
_cell_length_b 8.9411
_cell_length_c 8.9806
_cell_angle_alpha 94.84
_cell_angle_beta 107.93
_cell_angle_gamma 96.16
loop_
_symmetry_equiv_pos_as_xyz
'x,y,z'
loop_
_atom_site_label
_atom_site_type_symbol
_atom_site_fract_x
_atom_site_fract_y
_atom_site_fract_z
Cd1 Cd 0.0000 0.0000 0.0000
As1 As 0.1953 0.2867 0.7861
As2 As 0.2319 0.9366 0.4176
As3 As 0.2347 0.6640 0.1319
As4 As 0.7653 0.3360 0.8681
As5 As 0.7681 0.0634 0.5824
As6 As 0.8047 0.7133 0.2139
S1 S 0.0873 0.0196 0.7217
S2 S 0.0879 0.3131 0.0142
S3 S 0.0992 0.6626 0.3750
S4 S 0.3401 0.9259 0.1946
S5 S 0.6599 0.0741 0.8054
S6 S 0.9008 0.3374 0.6250
S7 S 0.9121 0.6869 0.9858
S8 S 0.9127 0.9804 0.2783
I1 I 0.3481 0.6717 0.8621
I2 I 0.3615 0.2674 0.4638
I3 I 0.6385 0.7326 0.5362
I4 I 0.6519 0.3283 0.1379
```



No. 11
For KCd4As2P, a crystal structure in OQMD, relaxed with PBE gives the theoretical X-ray powder pattern in this record (Cu Kα (weighted mean of Kα1 and Kα2)).
No peak broadening, texture or thermal motion is included.

Principal peaks in the range 10 to 90 degrees two-theta, sorted by position:
- 2θ 14.85, intensity 14
- 2θ 22.98, intensity 11
- 2θ 23.38, intensity 13
- 2θ 26.05, intensity 55
- 2θ 34.03, intensity 41
- 2θ 37.70, intensity 11
- 2θ 40.12, intensity 100
- 2θ 56.22, intensity 20
- 2θ 58.03, intensity 11
- 2θ 72.89, intensity 24

Structure:
```
data_KCd4As2P
_symmetry_space_group_name_H-M 'P 1'
_symmetry_Int_Tables_number 1
_cell_length_a 12.2086
_cell_length_b 12.2086
_cell_length_c 12.2086
_cell_angle_alpha 21.22
_cell_angle_beta 21.22
_cell_angle_gamma 21.22
loop_
_symmetry_equiv_pos_as_xyz
'x,y,z'
loop_
_atom_site_label
_atom_site_type_symbol
_atom_site_fract_x
_atom_site_fract_y
_atom_site_fract_z
K1 K 0.0000 0.0000 0.0000
Cd1 Cd 0.1970 0.1970 0.1970
Cd2 Cd 0.4125 0.4125 0.4125
Cd3 Cd 0.5875 0.5875 0.5875
Cd4 Cd 0.8030 0.8030 0.8030
As1 As 0.2721 0.2721 0.2721
As2 As 0.7279 0.7279 0.7279
P1 P 0.5000 0.5000 0.5000
```